# Li4FeOF5
Simulated powder XRD pattern, Cu Ka. Input: a structure optimized by DFT (PBE+U).

Most intense lines, 2θ = 5–70°, low angle first:
18.6°, intensity 33, (0 0 2)
20.0°, intensity 53, (0 2 0)
20.7°, intensity 100, (1 1 -1)
22.9°, intensity 66, (1 1 1)
27.4°, intensity 40, (0 2 2)
32.3°, intensity 21, (1 1 -3)
41.9°, intensity 55, (2 0 2)
43.5°, intensity 93, (1 3 -3)
61.4°, intensity 22, (3 3 -1)
62.6°, intensity 25, (1 3 5)

Structure:
```
data_Li4FeOF5
_cell_length_a 5.2691
_cell_length_b 8.8889
_cell_length_c 9.6651
_cell_angle_alpha 90.00
_cell_angle_beta 98.50
_cell_angle_gamma 90.00
_symmetry_space_group_name_H-M 'C 1 c 1'
_symmetry_Int_Tables_number 9
loop_
_symmetry_equiv_pos_as_xyz
'x,y,z'
'x,-y,z+1/2'
'x+1/2,y+1/2,z'
'x+1/2,-y+1/2,z+1/2'
loop_
_atom_site_label
_atom_site_type_symbol
_atom_site_fract_x
_atom_site_fract_y
_atom_site_fract_z
_atom_site_occupancy
Li1 Li 0.0000 0.0659 0.0000 1
Li2 Li 0.2151 0.4257 0.7334 1
Li3 Li 0.4514 0.2320 0.9682 1
Li4 Li 0.4561 0.0851 0.5155 1
Fe1 Fe 0.2608 0.2295 0.2336 1
O1 O 0.3658 0.0958 0.1115 1
F1 F 0.0935 0.2743 0.8681 1
F2 F 0.1173 0.1011 0.3806 1
F3 F 0.1701 0.4004 0.3648 1
F4 F 0.3281 0.4108 0.1141 1
F5 F 0.3995 0.2682 0.6307 1
```